[1]
This entry pairs a crystal structure of SbHI3 with its theoretical powder diffraction line list. Radiation: Cu Kα X-rays. Structure: a structure optimized by DFT (PBE).
Kinematic intensities with the Lorentz-polarization factor, no thermal factor.

Most intense lines, 5 to 70 degrees two-theta, by intensity:
(0 2 2), 32.9°, intensity 100; (4 2 2), 44.1°, intensity 77; (4 0 0), 28.5°, intensity 69; (2 0 2), 22.9°, intensity 65; (0 0 2), 17.9°, intensity 53; (1 1 2), 23.7°, intensity 38; (0 0 4), 36.3°, intensity 35; (2 1 1), 21.6°, intensity 34; (4 0 4), 46.8°, intensity 33; (0 1 1), 16.3°, intensity 33; (1 1 0), 15.3°, intensity 31; (2 2 0), 31.0°, intensity 31

Atomic structure:
Cell: 12.5258 6.5103 9.8930 Å, 90.00 90.00 90.00°
Space group Ima2 (No. 46)
One atom of each set of equivalent atoms:
Sb 0.2500 0.2171 0.0000 (multiplicity 4)
H 0.2500 0.0626 0.5986 (multiplicity 4)
I 0.0062 0.2492 0.5154 (multiplicity 8)
I 0.2500 0.5215 0.7673 (multiplicity 4)

=====

[2]
This entry pairs a crystal structure of Sc2H2I5 with its theoretical powder diffraction line list. Radiation: Cu Kα X-rays. Structure: a structure optimized by DFT (PBE).
Kinematic intensities with the Lorentz-polarization factor, no thermal factor.

Most intense lines, 5 to 70 degrees two-theta, by intensity:
(0 2 0), 13.3°, intensity 100; (0 2 4), 25.0°, intensity 65; (2 0 4), 31.0°, intensity 64; (2 2 0), 26.2°, intensity 59; (2 4 4), 41.4°, intensity 51; (0 0 2), 10.5°, intensity 49; (0 4 0), 26.7°, intensity 43; (2 2 4), 33.9°, intensity 40; (1 1 1), 14.0°, intensity 38; (2 2 8), 51.0°, intensity 20; (4 2 4), 53.0°, intensity 16; (0 6 4), 46.1°, intensity 16

Atomic structure:
Cell: 7.9063 13.3505 16.8380 Å, 90.00 90.00 90.00°
Space group Fmmm (No. 69)
One atom of each set of equivalent atoms:
Sc 0.0000 0.2104 0.0000 (multiplicity 8)
H 0.0000 0.0000 0.2391 (multiplicity 8)
I 0.0000 0.0000 0.0000 (multiplicity 4)
I 0.2500 0.2500 0.1200 (multiplicity 16)

=====

[3]
This entry pairs a crystal structure of Sc2HI with its theoretical powder diffraction line list. Radiation: Cu Kα X-rays. Structure: a structure optimized by DFT (PBE).
Kinematic intensities with the Lorentz-polarization factor, no thermal factor.

Most intense lines, 5 to 70 degrees two-theta, by intensity:
(1 0 1), 32.3°, intensity 100; (1 4 0), 40.8°, intensity 55; (0 2 1), 26.9°, intensity 35; (0 3 0), 24.2°, intensity 30; (1 2 0), 28.9°, intensity 30; (0 3 1), 32.6°, intensity 30; (0 1 1), 22.9°, intensity 29; (0 4 1), 39.3°, intensity 28; (1 3 0), 34.3°, intensity 25; (1 1 0), 25.3°, intensity 22; (0 0 2), 43.7°, intensity 21; (1 3 2), 56.7°, intensity 20

Atomic structure:
Cell: 3.7215 11.0330 4.1393 Å, 90.00 90.00 90.00°
Space group Pmn2_1 (No. 31)
One atom of each set of equivalent atoms:
Sc 0.0000 0.0632 0.0000 (multiplicity 2)
Sc 0.0000 0.7759 0.9996 (multiplicity 2)
H 0.0000 0.9147 0.7130 (multiplicity 2)
I 0.0000 0.3489 0.9954 (multiplicity 2)

=====

[4]
This entry pairs a crystal structure of H3SeI with its theoretical powder diffraction line list. Radiation: Cu Kα X-rays. Structure: a structure optimized by DFT (PBE).
Kinematic intensities with the Lorentz-polarization factor, no thermal factor.

Most intense lines, 5 to 70 degrees two-theta, by intensity:
(0 1 2), 23.0°, intensity 100; (1 1 0), 31.0°, intensity 45; (1 0 4), 34.5°, intensity 33; (2 0 2), 39.0°, intensity 24; (1 2 2), 50.6°, intensity 23; (1 1 6), 55.4°, intensity 17; (2 1 4), 57.4°, intensity 15; (0 2 4), 47.1°, intensity 14; (3 1 2), 69.5°, intensity 9; (3 0 0), 55.1°, intensity 9; (1 0 1), 19.2°, intensity 7; (2 2 0), 64.6°, intensity 5

Atomic structure:
Cell: 5.7739 5.7739 12.1601 Å, 90.00 90.00 120.00°
Space group R3m (No. 160, hexagonal axes)
One atom of each set of equivalent atoms:
H 0.0752 0.5376 0.0000 (multiplicity 9)
Se 0.0000 0.0000 0.2624 (multiplicity 3)
I 0.0000 0.0000 0.7703 (multiplicity 3)

=====

[5]
This entry pairs a crystal structure of H4SeI with its theoretical powder diffraction line list. Radiation: Cu Kα X-rays. Structure: a structure optimized by DFT (PBE).
Kinematic intensities with the Lorentz-polarization factor, no thermal factor.

Most intense lines, 5 to 70 degrees two-theta, by intensity:
(1 1 -1), 22.1°, intensity 100; (0 0 2), 22.7°, intensity 46; (1 1 1), 31.6°, intensity 37; (1 1 -3), 32.1°, intensity 36; (2 0 -2), 29.3°, intensity 24; (0 2 2), 40.8°, intensity 17; (0 2 0), 33.4°, intensity 16; (2 2 -2), 45.1°, intensity 14; (2 0 0), 37.0°, intensity 12; (2 0 -4), 37.8°, intensity 12; (3 1 -3), 47.9°, intensity 12; (1 1 3), 51.5°, intensity 10

Atomic structure:
Cell: 6.0970 5.3591 9.8339 Å, 90.00 127.07 90.00°
Space group P2/c (No. 13)
One atom of each set of equivalent atoms:
H 0.1780 0.0862 0.2481 (multiplicity 4)
H 0.2363 0.2483 0.4868 (multiplicity 4)
Se 0.0000 0.2803 0.2500 (multiplicity 2)
I 0.5000 0.2416 0.7500 (multiplicity 2)

=====

[6]
This entry pairs a crystal structure of H3Se2I2 with its theoretical powder diffraction line list. Radiation: Cu Kα X-rays. Structure: a structure optimized by DFT (PBE).
Kinematic intensities with the Lorentz-polarization factor, no thermal factor.

Most intense lines, 5 to 70 degrees two-theta, by intensity:
(0 0 2), 22.5°, intensity 100; (0 2 0), 33.4°, intensity 44; (1 0 1), 22.9°, intensity 27; (1 0 2), 28.3°, intensity 19; (2 2 1), 46.0°, intensity 15; (1 1 -1), 27.7°, intensity 14; (0 0 1), 11.2°, intensity 14; (0 2 -2), 40.5°, intensity 14; (2 0 3), 51.6°, intensity 13; (1 0 -1), 27.4°, intensity 13; (1 1 2), 28.8°, intensity 13; (0 2 2), 40.8°, intensity 12

Atomic structure:
Cell: 4.3048 5.7292 8.1041 Å, 85.94 76.84 69.70°
Space group P-1 (No. 2)
One atom of each set of equivalent atoms:
H 0.0000 0.0000 0.0000 (multiplicity 1)
H 0.1555 0.2316 0.1807 (multiplicity 2)
Se 0.2252 0.2223 0.9910 (multiplicity 2)
I 0.0178 0.7491 0.4636 (multiplicity 2)

=====

[7]
This entry pairs a crystal structure of SnHSeI with its theoretical powder diffraction line list. Radiation: Cu Kα X-rays. Structure: a structure optimized by DFT (PBE).
Kinematic intensities with the Lorentz-polarization factor, no thermal factor.

Most intense lines, 5 to 70 degrees two-theta, by intensity:
(1 -1 0), 29.5°, intensity 100; (0 1 -1), 21.2°, intensity 67; (0 0 1), 13.0°, intensity 59; (1 1 -1), 30.7°, intensity 52; (1 0 -2), 29.9°, intensity 52; (0 1 1), 28.2°, intensity 44; (0 1 -2), 28.1°, intensity 39; (1 -1 2), 39.6°, intensity 28; (1 0 -3), 40.1°, intensity 23; (0 1 2), 38.9°, intensity 23; (2 0 -1), 45.2°, intensity 22; (1 2 -2), 48.3°, intensity 19

Atomic structure:
Cell: 4.0126 4.4120 7.4229 Å, 107.02 104.38 92.08°
Space group P1 (No. 1)
One atom of each set of equivalent atoms:
Sn 0.0000 0.0000 0.0000 (multiplicity 1)
H 0.6782 0.0370 0.4105 (multiplicity 1)
Se 0.5847 0.7823 0.2156 (multiplicity 1)
I 0.3419 0.5327 0.7093 (multiplicity 1)

=====

[8]
This entry pairs a crystal structure of ZrHSeI with its theoretical powder diffraction line list. Radiation: Cu Kα X-rays. Structure: a structure optimized by DFT (PBE).
Kinematic intensities with the Lorentz-polarization factor, no thermal factor.

Most intense lines, 5 to 70 degrees two-theta, by intensity:
(2 0 1), 34.5°, intensity 100; (2 0 -1), 28.1°, intensity 74; (1 1 1), 32.3°, intensity 65; (0 2 0), 49.2°, intensity 48; (0 0 1), 12.0°, intensity 47; (2 0 -3), 40.1°, intensity 32; (1 1 -3), 43.2°, intensity 24; (0 0 2), 24.2°, intensity 18; (2 2 1), 61.5°, intensity 18; (0 0 4), 49.5°, intensity 13; (1 1 3), 50.1°, intensity 12; (3 1 2), 62.8°, intensity 12

Atomic structure:
Cell: 6.4178 3.7055 7.6708 Å, 90.00 106.27 90.00°
Space group Cm (No. 8)
One atom of each set of equivalent atoms:
Zr 0.0000 0.0000 0.0000 (multiplicity 2)
H 0.1609 0.5000 0.9828 (multiplicity 2)
Se 0.4108 0.0000 0.2312 (multiplicity 2)
I 0.2364 0.0000 0.7105 (multiplicity 2)

=====

[9]
This entry pairs a crystal structure of SnH2I2 with its theoretical powder diffraction line list. Radiation: Cu Kα X-rays. Structure: a structure optimized by DFT (PBE).
Kinematic intensities with the Lorentz-polarization factor, no thermal factor.

Most intense lines, 5 to 70 degrees two-theta, by intensity:
(1 3 1), 29.9°, intensity 100; (0 2 0), 14.5°, intensity 91; (2 0 -2), 27.6°, intensity 64; (2 0 2), 41.3°, intensity 62; (1 1 1), 21.6°, intensity 48; (0 0 1), 12.1°, intensity 48; (1 3 -3), 40.9°, intensity 43; (2 2 -2), 31.3°, intensity 29; (2 6 -2), 53.0°, intensity 25; (1 3 0), 25.1°, intensity 18; (1 3 -1), 25.8°, intensity 18; (1 5 1), 42.3°, intensity 17

Atomic structure:
Cell: 7.7616 12.2470 7.8669 Å, 90.00 111.92 90.00°
Space group C2/m (No. 12)
One atom of each set of equivalent atoms:
Sn 0.0000 0.1647 0.0000 (multiplicity 4)
H 0.1129 0.5000 0.7307 (multiplicity 4)
H 0.1645 0.5000 0.6664 (multiplicity 4)
I 0.2479 0.1777 0.7541 (multiplicity 8)

=====

[10]
This entry pairs a crystal structure of SnH3I6 with its theoretical powder diffraction line list. Radiation: Cu Kα X-rays. Structure: a structure optimized by DFT (PBE).
Kinematic intensities with the Lorentz-polarization factor, no thermal factor.

Most intense lines, 5 to 70 degrees two-theta, by intensity:
(2 2 -1), 29.9°, intensity 100; (1 1 3), 29.0°, intensity 74; (0 2 1), 21.8°, intensity 62; (2 0 0), 21.9°, intensity 50; (1 1 -3), 24.7°, intensity 49; (2 1 0), 24.2°, intensity 34; (1 1 -2), 19.2°, intensity 33; (1 1 0), 15.0°, intensity 32; (1 3 -4), 43.1°, intensity 30; (1 1 -4), 31.1°, intensity 29; (0 2 0), 20.5°, intensity 25; (0 0 1), 7.4°, intensity 24

Atomic structure:
Cell: 8.3239 8.6720 12.3086 Å, 90.00 103.22 90.00°
Space group P2_1 (No. 4)
One atom of each set of equivalent atoms:
Sn 0.1001 0.0000 0.1307 (multiplicity 2)
H 0.0590 0.6069 0.9517 (multiplicity 2)
H 0.2345 0.7198 0.6060 (multiplicity 2)
H 0.4940 0.4825 0.5688 (multiplicity 2)
I 0.1655 0.2579 0.8612 (multiplicity 2)
I 0.1728 0.9855 0.3590 (multiplicity 2)
I 0.2026 0.8840 0.6675 (multiplicity 2)
I 0.2920 0.8012 0.0430 (multiplicity 2)
I 0.2959 0.4653 0.5090 (multiplicity 2)
I 0.3254 0.2673 0.1286 (multiplicity 2)

=====

[11]
This entry pairs a crystal structure of TaHI6 with its theoretical powder diffraction line list. Radiation: Cu Kα X-rays. Structure: a structure optimized by DFT (PBE).
Kinematic intensities with the Lorentz-polarization factor, no thermal factor.

Most intense lines, 5 to 70 degrees two-theta, by intensity:
(2 -1 0), 27.1°, intensity 100; (-1 2 1), 27.4°, intensity 42; (1 1 0), 26.7°, intensity 36; (0 0 1), 12.8°, intensity 34; (0 1 0), 14.1°, intensity 32; (0 0 2), 25.8°, intensity 28; (2 -1 1), 34.9°, intensity 27; (-3 3 1), 42.5°, intensity 25; (1 -1 0), 14.3°, intensity 24; (0 1 -1), 15.9°, intensity 22; (-2 1 2), 28.2°, intensity 22; (-1 2 2), 35.9°, intensity 21

Atomic structure:
Cell: 7.3167 7.5247 8.0040 Å, 92.71 114.70 118.68°
Space group P-1 (No. 2)
One atom of each set of equivalent atoms:
Ta 0.0000 0.0000 0.0000 (multiplicity 1)
H 0.5000 0.0000 0.0000 (multiplicity 1)
I 0.1345 0.2174 0.7669 (multiplicity 2)
I 0.1570 0.3689 0.2450 (multiplicity 2)
I 0.4694 0.0719 0.2160 (multiplicity 2)

=====

> Number 7 is which compound?

SnHSeI